Al3Au8: theoretical powder diffraction line list (Cu Kα X-rays), based on a cell relaxed with PBE.
Kinematic intensities with the Lorentz-polarization factor, no thermal factor.

Unit cell a=14.998 b=14.998 c=14.998 alpha=30.32 beta=30.32 gamma=30.32
Element x y z (fractional)
Al 0.000 0.000 0.000
Al 0.066 0.750 0.434
Al 0.156 0.156 0.156
Al 0.250 0.566 0.934
Al 0.344 0.344 0.344
Al 0.434 0.066 0.750
Al 0.500 0.500 0.500
Al 0.566 0.934 0.250
Al 0.656 0.656 0.656
Al 0.750 0.434 0.066
Al 0.844 0.844 0.844
Al 0.934 0.250 0.566
Au 0.004 0.296 0.649
Au 0.063 0.063 0.063
Au 0.115 0.375 0.853
Au 0.125 0.385 0.647
Au 0.147 0.885 0.625
Au 0.149 0.796 0.504
Au 0.204 0.496 0.851
Au 0.218 0.218 0.218
Au 0.282 0.282 0.282
Au 0.296 0.649 0.004
Au 0.351 0.996 0.704
Au 0.353 0.875 0.615
Au 0.375 0.853 0.115
Au 0.385 0.647 0.125
Au 0.437 0.437 0.437
Au 0.496 0.851 0.204
Au 0.504 0.149 0.796
Au 0.563 0.563 0.563
Au 0.615 0.353 0.875
Au 0.625 0.147 0.885
Au 0.647 0.125 0.385
Au 0.649 0.004 0.296
Au 0.704 0.351 0.996
Au 0.718 0.718 0.718
Au 0.782 0.782 0.782
Au 0.796 0.504 0.149
Au 0.851 0.204 0.496
Au 0.853 0.115 0.375
Au 0.875 0.615 0.353
Au 0.885 0.625 0.147
Au 0.937 0.937 0.937
Au 0.996 0.704 0.351

Top 8 peaks for 2θ from 5° to 70°, by angle:
2θ (°), d_spacing, intensity
25.91, 3.438, 24
29.50, 3.028, 19
35.01, 2.563, 15
38.97, 2.311, 100
39.62, 2.275, 17
39.81, 2.264, 80
46.13, 1.968, 16
56.93, 1.617, 14



AlAu2: theoretical powder diffraction line list (Cu Kα X-rays), based on a cell relaxed with PBE.
Kinematic intensities with the Lorentz-polarization factor, no thermal factor.

Unit cell a=5.079 b=5.079 c=5.079 alpha=141.24 beta=141.24 gamma=55.98
Element x y z (fractional)
Al 0.000 0.000 0.000
Au 0.344 0.344 0.000
Au 0.656 0.656 0.000

Top 8 peaks for 2θ from 5° to 70°, by angle:
2θ (°), d_spacing, intensity
19.79, 4.485, 13
28.28, 3.156, 55
37.74, 2.384, 62
40.32, 2.237, 100
54.44, 1.686, 22
56.33, 1.633, 15
62.47, 1.487, 12
69.86, 1.346, 48